Computed powder diffractogram of Li7HgPt3 for Cu Ka, from a crystal structure in Alexandria, relaxed with GGA-PBE.
Lines closer than 0.1° are merged.

Top 10 peaks for 15° ≤ 2θ ≤ 90°, in order of rising 2θ:
2θ = 16.72°, I 30; 2θ = 22.03°, I 19; 2θ = 23.42°, I 100; 2θ = 24.79°, I 60; 2θ = 27.51°, I 19; 2θ = 32.91°, I 33; 2θ = 39.88°, I 46; 2θ = 40.17°, I 46; 2θ = 44.66°, I 27; 2θ = 49.87°, I 30

Atomic structure:
```
Li7HgPt3
1.0
1.3718 -10.7767 0.0000
1.3718 10.7767 0.0000
0.0000 0.0000 12.1765
Li Hg Pt
14 2 6
Direct
0.0644 0.9356 0.6275
0.0644 0.9356 0.8725
0.1043 0.8957 0.0947
0.1043 0.8957 0.4053
0.1915 0.8085 0.7500
0.2226 0.7774 0.0944
0.2226 0.7774 0.4056
0.7774 0.2226 0.5944
0.7774 0.2226 0.9056
0.8085 0.1915 0.2500
0.8957 0.1043 0.5947
0.8957 0.1043 0.9053
0.9356 0.0644 0.1275
0.9356 0.0644 0.3725
0.4724 0.5276 0.7500
0.5276 0.4724 0.2500
0.3348 0.6652 0.7500
0.3405 0.6595 0.0642
0.3405 0.6595 0.4358
0.6595 0.3405 0.5642
0.6595 0.3405 0.9358
0.6652 0.3348 0.2500
```